Entry 1:
For NaCd5, the PBE geometry in Alexandria gives the computed powder diffractogram in this record (Cu Kα (λ = 1.5418 Å)).
Kinematic intensities with the Lorentz-polarization factor, no thermal factor.

Main lines, in order of rising 2θ (10 to 90 degrees two-theta):
8.005 Å, 11.1 deg, I 10.0
2.748 Å, 32.6 deg, I 24.7
2.708 Å, 33.1 deg, I 3.9
2.668 Å, 33.6 deg, I 28.3
2.443 Å, 36.8 deg, I 100.0
1.914 Å, 47.5 deg, I 16.6
1.586 Å, 58.1 deg, I 16.5
1.493 Å, 62.2 deg, I 20.1
1.364 Å, 68.9 deg, I 19.4
1.331 Å, 70.8 deg, I 13.5

Structure:
Cell lengths 3.173, 3.173, 16.010 Å; angles 90.00, 90.00, 120.00 degrees
Fractional positions:
Na (0.000, 0.000, 0.000)
Cd (0.000, 0.000, 0.333)
Cd (0.000, 0.000, 0.667)
Cd (0.667, 0.333, 0.169)
Cd (0.667, 0.333, 0.500)
Cd (0.667, 0.333, 0.831)


Entry 2:
For Pm5Pr2Pb4, the PBE geometry in Alexandria gives the computed powder diffractogram in this record (Cu Kα (λ = 1.5418 Å)).
Kinematic intensities with the Lorentz-polarization factor, no thermal factor.

Main lines, in order of rising 2θ (10 to 90 degrees two-theta):
3.102 Å, 28.8 deg, I 100.0
3.083 Å, 29.0 deg, I 98.8
2.996 Å, 29.8 deg, I 73.7
2.610 Å, 34.4 deg, I 38.3
2.596 Å, 34.5 deg, I 28.0
2.480 Å, 36.2 deg, I 35.0
2.339 Å, 38.5 deg, I 38.7
2.253 Å, 40.0 deg, I 35.2
2.062 Å, 43.9 deg, I 37.3
1.797 Å, 50.8 deg, I 28.8

Structure:
Cell lengths 13.958, 13.958, 7.624 Å; angles 92.27, 92.27, 14.80 degrees
Fractional positions:
Pm (0.000, 0.000, 0.000)
Pm (0.265, 0.265, 0.790)
Pm (0.359, 0.359, 0.165)
Pm (0.641, 0.641, 0.835)
Pm (0.735, 0.735, 0.210)
Pr (0.411, 0.411, 0.709)
Pr (0.589, 0.589, 0.291)
Pb (0.175, 0.175, 0.500)
Pb (0.467, 0.467, 0.333)
Pb (0.533, 0.533, 0.667)
Pb (0.825, 0.825, 0.500)


Please write out number 2 again, unchanged.
For Pm5Pr2Pb4, the PBE geometry in Alexandria gives the computed powder diffractogram in this record (Cu Kα (λ = 1.5418 Å)).
Kinematic intensities with the Lorentz-polarization factor, no thermal factor.

Main lines, in order of rising 2θ (10 to 90 degrees two-theta):
3.102 Å, 28.8 deg, I 100.0
3.083 Å, 29.0 deg, I 98.8
2.996 Å, 29.8 deg, I 73.7
2.610 Å, 34.4 deg, I 38.3
2.596 Å, 34.5 deg, I 28.0
2.480 Å, 36.2 deg, I 35.0
2.339 Å, 38.5 deg, I 38.7
2.253 Å, 40.0 deg, I 35.2
2.062 Å, 43.9 deg, I 37.3
1.797 Å, 50.8 deg, I 28.8

Structure:
Cell lengths 13.958, 13.958, 7.624 Å; angles 92.27, 92.27, 14.80 degrees
Fractional positions:
Pm (0.000, 0.000, 0.000)
Pm (0.265, 0.265, 0.790)
Pm (0.359, 0.359, 0.165)
Pm (0.641, 0.641, 0.835)
Pm (0.735, 0.735, 0.210)
Pr (0.411, 0.411, 0.709)
Pr (0.589, 0.589, 0.291)
Pb (0.175, 0.175, 0.500)
Pb (0.467, 0.467, 0.333)
Pb (0.533, 0.533, 0.667)
Pb (0.825, 0.825, 0.500)